[1]
K5O2F2: theoretical powder diffraction line list (CuKα), based on a DFT-relaxed cell (GGA-PBE, Alexandria).
Intensities are scaled so that the largest is 100.

Top 10 peaks for 10 to 90 degrees two-theta, sorted by position:
d_spacing, I (rel.)
8.252, 100
5.113, 21
3.139, 86
2.751, 56
2.718, 65
2.689, 62
1.933, 35
1.923, 34
1.911, 39
1.570, 33

```
data_K5O2F2
_space_group_name_H-M_alt 'P 1 2/m 1'
_space_group_IT_number 10
_cell_length_a 5.3774
_cell_length_b 5.4352
_cell_length_c 8.6816
_cell_angle_alpha 90.00
_cell_angle_beta 108.09
_cell_angle_gamma 90.00
loop_
_space_group_symop_operation_xyz
'x,y,z'
'-x,-y,-z'
'-x,y,-z'
'x,-y,z'
loop_
_atom_site_label
_atom_site_type_symbol
_atom_site_fract_x
_atom_site_fract_y
_atom_site_fract_z
K1 K 0.0000 0.0000 0.0000
K2 K 0.1702 0.5000 0.3409
K3 K 0.3198 0.0000 0.6392
O1 O 0.1441 0.0000 0.2888
F1 F 0.3296 0.5000 0.6586
```

[2]
TcCl5: theoretical powder diffraction line list (CuKα), based on a DFT-relaxed cell (GGA-PBE, Alexandria).
Intensities are scaled so that the largest is 100.

Top 10 peaks for 10 to 90 degrees two-theta, sorted by position:
d_spacing, I (rel.)
7.589, 100
7.341, 81
5.294, 81
5.259, 64
2.751, 23
2.647, 19
2.630, 23
2.450, 33
2.308, 36
2.143, 19

```
data_TcCl5
_space_group_name_H-M_alt 'C 1 m 1'
_space_group_IT_number 8
_cell_length_a 15.1781
_cell_length_b 3.0257
_cell_length_c 7.3411
_cell_angle_alpha 90.00
_cell_angle_beta 90.38
_cell_angle_gamma 90.00
loop_
_space_group_symop_operation_xyz
'x,y,z'
'x,-y,z'
'x+1/2,y+1/2,z'
'x+1/2,-y+1/2,z'
loop_
_atom_site_label
_atom_site_type_symbol
_atom_site_fract_x
_atom_site_fract_y
_atom_site_fract_z
Tc1 Tc 0.0000 0.0000 0.0000
Cl1 Cl 0.0794 0.5000 0.7969
Cl2 Cl 0.0912 0.5000 0.1929
Cl3 Cl 0.2216 0.0000 0.4713
Cl4 Cl 0.3951 0.5000 0.7802
Cl5 Cl 0.3997 0.0000 0.1615
```

[3]
Sb2Se3: theoretical powder diffraction line list (CuKα), based on a DFT-relaxed cell (GGA-PBE, Alexandria).
Intensities are scaled so that the largest is 100.

Top 10 peaks for 10 to 90 degrees two-theta, sorted by position:
d_spacing, I (rel.)
5.854, 100
3.274, 22
2.927, 28
2.893, 40
2.800, 43
2.468, 30
2.428, 32
2.270, 34
2.177, 20
1.813, 19

```
data_Sb2Se3
_space_group_name_H-M_alt 'F d d 2'
_space_group_IT_number 43
_space_group_name_Hall 'F 2 -2d'
_cell_length_a 12.4607
_cell_length_b 13.0688
_cell_length_c 7.6963
_cell_angle_alpha 90.00
_cell_angle_beta 90.00
_cell_angle_gamma 90.00
loop_
_atom_site_label
_atom_site_type_symbol
_atom_site_fract_x
_atom_site_fract_y
_atom_site_fract_z
Sb1 Sb 0.1201 0.3043 0.0000
Se1 Se 0.0000 0.0000 0.4508
Se2 Se 0.0537 0.3580 0.3570
```

[4]
Tl2TeAsSe4: theoretical powder diffraction line list (CuKα), based on a DFT-relaxed cell (GGA-PBE, Alexandria).
Intensities are scaled so that the largest is 100.

Top 10 peaks for 10 to 90 degrees two-theta, sorted by position:
d_spacing, I (rel.)
3.621, 35
3.156, 100
2.983, 89
2.963, 88
2.278, 35
2.168, 67
2.102, 63
2.059, 32
1.810, 34
1.694, 33

```
data_Tl2TeAsSe4
_space_group_name_H-M_alt 'C 1 2/c 1'
_space_group_IT_number 15
_cell_length_a 11.9120
_cell_length_b 11.9334
_cell_length_c 8.2517
_cell_angle_alpha 90.00
_cell_angle_beta 130.11
_cell_angle_gamma 90.00
loop_
_space_group_symop_operation_xyz
'x,y,z'
'-x,-y,-z'
'-x,y,-z+1/2'
'x,-y,z+1/2'
'x+1/2,y+1/2,z'
'-x+1/2,-y+1/2,-z'
'-x+1/2,y+1/2,-z+1/2'
'x+1/2,-y+1/2,z+1/2'
loop_
_atom_site_label
_atom_site_type_symbol
_atom_site_fract_x
_atom_site_fract_y
_atom_site_fract_z
Tl1 Tl 0.0000 0.0000 0.0000
Tl2 Tl 0.2500 0.2500 0.0000
Te1 Te 0.2500 0.2500 0.5000
As1 As 0.0000 0.5000 0.0000
Se1 Se 0.0192 0.2687 0.5094
Se2 Se 0.2073 0.4878 0.4447
```

[5]
Na5Si6O18: theoretical powder diffraction line list (CuKα), based on a DFT-relaxed cell (GGA-PBE, Alexandria).
Intensities are scaled so that the largest is 100.

Top 10 peaks for 10 to 90 degrees two-theta, sorted by position:
d_spacing, I (rel.)
8.423, 28
6.885, 29
5.320, 100
4.896, 18
3.800, 19
3.582, 14
3.328, 14
3.096, 32
2.770, 18
2.523, 19

```
data_Na5Si6O18
_space_group_name_H-M_alt 'P -1'
_space_group_IT_number 2
_cell_length_a 6.3634
_cell_length_b 8.1487
_cell_length_c 8.9357
_cell_angle_alpha 108.50
_cell_angle_beta 93.09
_cell_angle_gamma 98.85
loop_
_space_group_symop_operation_xyz
'x,y,z'
'-x,-y,-z'
loop_
_atom_site_label
_atom_site_type_symbol
_atom_site_fract_x
_atom_site_fract_y
_atom_site_fract_z
Na1 Na 0.0000 0.0000 0.0000
Na2 Na 0.1154 0.7735 0.3681
Na3 Na 0.1409 0.6800 0.9994
Si1 Si 0.2370 0.1646 0.3098
Si2 Si 0.3585 0.3111 0.8344
Si3 Si 0.3909 0.3697 0.1824
O1 O 0.1381 0.2814 0.1874
O2 O 0.1456 0.3887 0.8560
O3 O 0.1547 0.2281 0.4821
O4 O 0.1885 0.9602 0.2064
O5 O 0.3178 0.0348 0.5699
O6 O 0.3219 0.0880 0.7292
O7 O 0.4415 0.5868 0.2355
O8 O 0.4685 0.2970 0.0030
O9 O 0.4875 0.2761 0.3020
```

[6]
PmDyCdBi: theoretical powder diffraction line list (CuKα), based on a DFT-relaxed cell (GGA-PBE, Alexandria).
Intensities are scaled so that the largest is 100.

Top 10 peaks for 10 to 90 degrees two-theta, sorted by position:
d_spacing, I (rel.)
4.443, 5
2.721, 100
2.320, 3
1.924, 18
1.766, 1
1.571, 38
1.360, 12
1.301, 1
1.217, 17
1.111, 4

```
data_PmDyCdBi
_space_group_name_H-M_alt 'F -4 3 m'
_space_group_IT_number 216
_space_group_name_Hall 'F -4 2 3'
_cell_length_a 7.6960
_cell_length_b 7.6960
_cell_length_c 7.6960
_cell_angle_alpha 90.00
_cell_angle_beta 90.00
_cell_angle_gamma 90.00
loop_
_atom_site_label
_atom_site_type_symbol
_atom_site_fract_x
_atom_site_fract_y
_atom_site_fract_z
Pm1 Pm 0.0000 0.0000 0.0000
Dy1 Dy 0.0000 0.0000 0.5000
Cd1 Cd 0.2500 0.2500 0.2500
Bi1 Bi 0.2500 0.2500 0.7500
```

[7]
Pu3Nb: theoretical powder diffraction line list (CuKα), based on a DFT-relaxed cell (GGA-PBE, Alexandria).
Intensities are scaled so that the largest is 100.

Top 10 peaks for 10 to 90 degrees two-theta, sorted by position:
d_spacing, I (rel.)
2.613, 57
2.567, 100
2.516, 50
2.319, 76
1.812, 39
1.561, 28
1.462, 18
1.411, 16
1.264, 23
1.258, 17

```
data_Pu3Nb
_space_group_name_H-M_alt 'P m m 2'
_space_group_IT_number 25
_cell_length_a 2.9058
_cell_length_b 5.0310
_cell_length_c 5.9701
_cell_angle_alpha 90.00
_cell_angle_beta 90.00
_cell_angle_gamma 90.00
loop_
_space_group_symop_operation_xyz
'x,y,z'
'-x,-y,z'
'-x,y,z'
'x,-y,z'
loop_
_atom_site_label
_atom_site_type_symbol
_atom_site_fract_x
_atom_site_fract_y
_atom_site_fract_z
Pu1 Pu 0.0000 0.0000 0.0000
Pu2 Pu 0.0000 0.5000 0.2442
Pu3 Pu 0.5000 0.5000 0.7386
Nb1 Nb 0.5000 0.0000 0.4983
```

[8]
KSr3Pd8: theoretical powder diffraction line list (CuKα), based on a DFT-relaxed cell (GGA-PBE, Alexandria).
Intensities are scaled so that the largest is 100.

Top 10 peaks for 10 to 90 degrees two-theta, sorted by position:
d_spacing, I (rel.)
4.574, 21
2.801, 17
2.389, 100
2.287, 52
1.980, 11
1.617, 6
1.525, 32
1.400, 29
1.208, 11
1.194, 19

```
data_KSr3Pd8
_space_group_name_H-M_alt 'R 3 m'
_space_group_IT_number 160
_space_group_name_Hall 'R 3 -2"'
_cell_length_a 5.6002
_cell_length_b 5.6002
_cell_length_c 27.4552
_cell_angle_alpha 90.00
_cell_angle_beta 90.00
_cell_angle_gamma 120.00
loop_
_atom_site_label
_atom_site_type_symbol
_atom_site_fract_x
_atom_site_fract_y
_atom_site_fract_z
K1 K 0.0000 0.0000 0.0000
Sr1 Sr 0.0000 0.0000 0.1222
Sr2 Sr 0.0000 0.0000 0.5022
Sr3 Sr 0.0000 0.0000 0.6300
Pd1 Pd 0.0000 0.0000 0.3136
Pd2 Pd 0.0000 0.0000 0.8138
Pd3 Pd 0.0019 0.5010 0.0651
Pd4 Pd 0.1677 0.3355 0.8957
```

[9]
Ce2NdCu6: theoretical powder diffraction line list (CuKα), based on a DFT-relaxed cell (GGA-PBE, Alexandria).
Intensities are scaled so that the largest is 100.

Top 10 peaks for 10 to 90 degrees two-theta, sorted by position:
d_spacing, I (rel.)
3.741, 15
2.592, 100
2.160, 52
1.798, 10
1.659, 25
1.620, 3
1.382, 23
1.316, 23
1.247, 8
1.141, 7

```
data_Ce2NdCu6
_space_group_name_H-M_alt 'P 6/m m m'
_space_group_IT_number 191
_space_group_name_Hall '-P 6 2'
_cell_length_a 7.4825
_cell_length_b 7.4825
_cell_length_c 3.5952
_cell_angle_alpha 90.00
_cell_angle_beta 90.00
_cell_angle_gamma 120.00
loop_
_atom_site_label
_atom_site_type_symbol
_atom_site_fract_x
_atom_site_fract_y
_atom_site_fract_z
Ce1 Ce 0.3333 0.6667 0.0000
Nd1 Nd 0.0000 0.0000 0.0000
Cu1 Cu 0.0000 0.3346 0.5000
```

[10]
La4ZnTc: theoretical powder diffraction line list (CuKα), based on a DFT-relaxed cell (GGA-PBE, Alexandria).
Intensities are scaled so that the largest is 100.

Top 10 peaks for 10 to 90 degrees two-theta, sorted by position:
d_spacing, I (rel.)
7.139, 28
3.513, 33
3.117, 39
3.083, 25
2.881, 85
2.778, 100
2.696, 31
2.586, 46
2.572, 34
2.505, 29

```
data_La4ZnTc
_space_group_name_H-M_alt 'C 1 2/c 1'
_space_group_IT_number 15
_cell_length_a 8.9678
_cell_length_b 13.1051
_cell_length_c 6.4241
_cell_angle_alpha 90.00
_cell_angle_beta 108.32
_cell_angle_gamma 90.00
loop_
_space_group_symop_operation_xyz
'x,y,z'
'-x,-y,-z'
'-x,y,-z+1/2'
'x,-y,z+1/2'
'x+1/2,y+1/2,z'
'-x+1/2,-y+1/2,-z'
'-x+1/2,y+1/2,-z+1/2'
'x+1/2,-y+1/2,z+1/2'
loop_
_atom_site_label
_atom_site_type_symbol
_atom_site_fract_x
_atom_site_fract_y
_atom_site_fract_z
La1 La 0.1078 0.1698 0.0459
La2 La 0.2075 0.4205 0.3958
Zn1 Zn 0.0000 0.3770 0.7500
Tc1 Tc 0.0000 0.0018 0.7500
```

[11]
Sm2GaRu2: theoretical powder diffraction line list (CuKα), based on a DFT-relaxed cell (GGA-PBE, Alexandria).
Intensities are scaled so that the largest is 100.

Top 10 peaks for 10 to 90 degrees two-theta, sorted by position:
d_spacing, I (rel.)
3.464, 47
2.661, 77
2.619, 87
2.539, 51
2.435, 41
2.402, 51
2.393, 81
2.381, 100
2.216, 78
1.425, 45

```
data_Sm2GaRu2
_space_group_name_H-M_alt 'C 1 2/c 1'
_space_group_IT_number 15
_cell_length_a 9.9622
_cell_length_b 5.5784
_cell_length_c 7.8997
_cell_angle_alpha 90.00
_cell_angle_beta 105.35
_cell_angle_gamma 90.00
loop_
_space_group_symop_operation_xyz
'x,y,z'
'-x,-y,-z'
'-x,y,-z+1/2'
'x,-y,z+1/2'
'x+1/2,y+1/2,z'
'-x+1/2,-y+1/2,-z'
'-x+1/2,y+1/2,-z+1/2'
'x+1/2,-y+1/2,z+1/2'
loop_
_atom_site_label
_atom_site_type_symbol
_atom_site_fract_x
_atom_site_fract_y
_atom_site_fract_z
Sm1 Sm 0.1445 0.1522 0.1443
Ga1 Ga 0.0000 0.3791 0.7500
Ru1 Ru 0.1388 0.3486 0.5139
```